1.
Calculated X-ray powder pattern
Compound: Pm2BrNCl
Radiation: Cu Kα
Structure: a crystal structure in Alexandria, relaxed with GGA-PBE
Lines closer than 0.1° are merged.

The 10 most intense peaks (2θ from 10° to 90°), sorted by position:
2θ (°)	I_rel
11.52	49
27.59	11
27.85	100
29.76	34
32.06	30
36.86	17
37.37	27
44.78	24
46.43	14
47.97	13

Structural model:
```
Pm2BrNCl
1.0
7.690 -1.956 0.000
7.690 1.956 0.000
-7.309 0.000 9.130
Pm Br N Cl
4 2 2 2
direct
0.098 0.098 0.295
0.373 0.373 0.962
0.627 0.627 0.038
0.902 0.902 0.705
0.343 0.343 0.456
0.657 0.657 0.544
0.442 0.442 0.836
0.558 0.558 0.164
0.134 0.134 0.840
0.866 0.866 0.160
```

2.
Calculated X-ray powder pattern
Compound: Mg5Si9
Radiation: Cu Kα
Structure: a crystal structure in Alexandria, relaxed with GGA-PBE
Lines closer than 0.1° are merged.

The 10 most intense peaks (2θ from 10° to 90°), sorted by position:
2θ (°)	I_rel
27.45	65
29.47	99
29.92	80
36.10	68
37.30	67
40.23	100
42.25	86
43.09	69
48.80	60
49.48	61

Structural model:
```
Mg5Si9
1.0
6.764 0.000 0.000
2.838 6.349 0.000
3.211 2.318 12.946
Mg Si
10 18
direct
0.000 0.000 0.000
0.010 0.692 0.668
0.156 0.406 0.469
0.187 0.123 0.148
0.428 0.530 0.076
0.593 0.091 0.232
0.624 0.511 0.708
0.692 0.825 0.897
0.747 0.674 0.136
0.821 0.137 0.536
0.023 0.793 0.195
0.023 0.968 0.790
0.159 0.424 0.257
0.203 0.036 0.610
0.321 0.290 0.756
0.334 0.386 0.911
0.336 0.743 0.879
0.369 0.829 0.342
0.437 0.425 0.579
0.452 0.771 0.512
0.488 0.939 0.717
0.493 0.493 0.287
0.568 0.118 0.026
0.816 0.764 0.503
0.854 0.311 0.332
0.945 0.336 0.817
0.961 0.409 0.982
0.982 0.930 0.348
```